1.
Starting from a crystal structure in Alexandria, relaxed with PBE, the X-ray diffraction stick pattern of Sc3TlS6 was simulated for Cu Kα (weighted mean of Kα1 and Kα2).
Intensities are scaled so that the largest is 1000.

Cell and atoms:
Cell: 10.1825 12.8600 6.3986 Å, 90.00 90.00 90.00°
Space group Cmc2_1 (No. 36)
Asymmetric unit:
Sc  0.0000  0.0907  0.0000 [4 per cell]
Sc  0.1877  0.4044  0.9026 [8 per cell]
Tl  0.0000  0.2951  0.3979 [4 per cell]
S  0.0000  0.2794  0.7844 [4 per cell]
S  0.0000  0.4714  0.1962 [4 per cell]
S  0.1633  0.0360  0.7042 [8 per cell]
S  0.1789  0.2187  0.1604 [8 per cell]

Top 10 peaks for 2θ = 5–70°, by angle:
d/Å, Position (°2θ), intensity, h k l
5.091, 17.42, 492, 2 0 0
4.993, 17.76, 1000, 1 1 1
3.992, 22.27, 483, 2 2 0
3.951, 22.50, 417, 1 3 0
3.387, 26.32, 934, 2 2 1
3.362, 26.51, 843, 1 3 1
2.920, 30.62, 702, 3 1 1
2.870, 31.16, 509, 0 4 1
2.497, 35.96, 745, 2 2 2
2.049, 44.20, 772, 3 5 0



2.
Starting from a crystal structure in Alexandria, relaxed with PBE, the X-ray diffraction stick pattern of Sc3UTl4S8 was simulated for Cu Kα (weighted mean of Kα1 and Kα2).
Intensities are scaled so that the largest is 1000.

Cell and atoms:
Cell: 7.7076 7.7076 22.7818 Å, 90.00 90.00 120.00°
Space group R-3m (No. 166, hexagonal axes)
Asymmetric unit:
Sc  0.0000  0.5000  0.0000 [9 per cell]
U  0.0000  0.0000  0.0000 [3 per cell]
Tl  0.0000  0.0000  0.5000 [3 per cell]
Tl  0.0000  0.5000  0.5000 [9 per cell]
S  0.0000  0.0000  0.2719 [6 per cell]
S  0.0099  0.5049  0.2699 [18 per cell]

Top 10 peaks for 2θ = 5–70°, by angle:
d/Å, Position (°2θ), intensity, h k l
7.594, 11.65, 158, 0 0 3
3.797, 23.43, 317, 0 0 6
3.302, 27.00, 160, 0 2 1
3.203, 27.86, 542, 2 0 2
2.880, 31.06, 1000, 0 2 4
2.166, 41.69, 387, 2 0 8
1.927, 47.17, 322, 2 2 0
1.882, 48.37, 180, 0 2 10
1.718, 53.31, 221, 2 2 6
1.601, 57.55, 176, 4 0 4



3.
Starting from a crystal structure in Alexandria, relaxed with PBE, the X-ray diffraction stick pattern of YScTl2S4 was simulated for Cu Kα (weighted mean of Kα1 and Kα2).
Intensities are scaled so that the largest is 1000.

Cell and atoms:
Cell: 6.7976 3.9264 7.8326 Å, 90.00 106.77 90.00°
Space group P2/m (No. 10)
Asymmetric unit:
Y  0.0000  0.0000  0.0000 [1 per cell]
Sc  0.5000  0.5000  0.0000 [1 per cell]
Tl  0.0000  0.5000  0.5000 [1 per cell]
Tl  0.5000  0.0000  0.5000 [1 per cell]
S  0.2441  0.5000  0.1959 [2 per cell]
S  0.2814  0.0000  0.8092 [2 per cell]

Top 10 peaks for 2θ = 5–70°, by angle:
d/Å, Position (°2θ), intensity, h k l
7.499, 11.80, 286, 0 0 1
3.750, 23.73, 277, 0 0 2
3.361, 26.52, 257, 2 0 -1
3.254, 27.41, 503, 2 0 0
2.909, 30.73, 1000, 1 1 1
2.712, 33.02, 221, 1 1 -2
2.167, 41.68, 379, 1 1 -3
1.963, 46.25, 327, 0 2 0
1.739, 52.63, 204, 3 1 1
1.627, 56.56, 171, 2 2 -2



4.
Starting from a crystal structure in Alexandria, relaxed with PBE, the X-ray diffraction stick pattern of TmSc4S5 was simulated for Cu Kα (weighted mean of Kα1 and Kα2).
Intensities are scaled so that the largest is 1000.

Cell and atoms:
Cell: 3.7244 5.2634 18.6357 Å, 90.00 90.00 90.00°
Space group Immm (No. 71)
Asymmetric unit:
Tm  0.0000  0.0000  0.0000 [2 per cell]
Sc  0.0000  0.0000  0.2020 [4 per cell]
Sc  0.0000  0.0000  0.3990 [4 per cell]
S  0.0000  0.5000  0.0000 [2 per cell]
S  0.0000  0.5000  0.1996 [4 per cell]
S  0.0000  0.5000  0.3960 [4 per cell]

Top 10 peaks for 2θ = 5–70°, by angle:
d/Å, Position (°2θ), intensity, h k l
9.318, 9.49, 308, 0 0 2
5.065, 17.51, 181, 0 1 1
4.016, 22.14, 108, 0 1 3
3.652, 24.37, 88, 1 0 1
3.041, 29.37, 241, 0 1 5
2.890, 30.94, 99, 1 1 2
2.634, 34.04, 1000, 0 2 0
1.862, 48.91, 668, 2 0 0
1.588, 58.08, 111, 1 1 10
1.520, 60.93, 221, 2 2 0



5.
Starting from a crystal structure in Alexandria, relaxed with PBE, the X-ray diffraction stick pattern of TmSc3S4 was simulated for Cu Kα (weighted mean of Kα1 and Kα2).
Intensities are scaled so that the largest is 1000.

Cell and atoms:
Cell: 5.2860 5.2860 5.2860 Å, 90.00 90.00 90.00°
Space group Pm-3m (No. 221)
Asymmetric unit:
Tm  0.0000  0.0000  0.0000 [1 per cell]
Sc  0.0000  0.5000  0.5000 [3 per cell]
S  0.0000  0.0000  0.5000 [3 per cell]
S  0.5000  0.5000  0.5000 [1 per cell]

Top 10 peaks for 2θ = 5–70°, by angle:
d/Å, Position (°2θ), intensity, h k l
5.286, 16.77, 424, 1 0 0
3.738, 23.81, 382, 1 1 0
3.052, 29.26, 292, 1 1 1
2.643, 33.92, 1000, 2 0 0
2.364, 38.07, 236, 2 1 0
2.158, 41.86, 183, 2 1 1
1.869, 48.72, 674, 2 2 0
1.762, 51.89, 126, 3 0 0
1.594, 57.86, 135, 3 1 1
1.526, 60.69, 225, 2 2 2



6.
Starting from a crystal structure in Alexandria, relaxed with PBE, the X-ray diffraction stick pattern of TmSc2S3 was simulated for Cu Kα (weighted mean of Kα1 and Kα2).
Intensities are scaled so that the largest is 1000.

Cell and atoms:
Cell: 3.7538 5.2964 11.2166 Å, 90.00 90.00 90.00°
Space group Immm (No. 71)
Asymmetric unit:
Tm  0.0000  0.0000  0.0000 [2 per cell]
Sc  0.0000  0.0000  0.3360 [4 per cell]
S  0.0000  0.5000  0.0000 [2 per cell]
S  0.0000  0.5000  0.3277 [4 per cell]

Top 10 peaks for 2θ = 5–70°, by angle:
d/Å, Position (°2θ), intensity, h k l
5.608, 15.80, 232, 0 0 2
4.789, 18.53, 316, 0 1 1
3.560, 25.01, 170, 1 0 1
3.059, 29.20, 377, 0 1 3
2.688, 33.33, 182, 1 1 2
2.649, 33.84, 1000, 0 2 0
2.067, 43.80, 114, 0 1 5
1.877, 48.50, 115, 2 0 0
1.872, 48.63, 566, 1 2 3
1.531, 60.46, 115, 2 2 0



7.
Starting from a crystal structure in Alexandria, relaxed with PBE, the X-ray diffraction stick pattern of TmSc3S4 was simulated for Cu Kα (weighted mean of Kα1 and Kα2).
Intensities are scaled so that the largest is 1000.

Cell and atoms:
Cell: 7.4937 10.5603 3.7183 Å, 90.00 90.00 90.00°
Space group Cmmm (No. 65)
Asymmetric unit:
Tm  0.0000  0.0000  0.0000 [2 per cell]
Sc  0.0000  0.5000  0.0000 [2 per cell]
Sc  0.2500  0.2500  0.5000 [4 per cell]
S  0.0000  0.2536  0.0000 [4 per cell]
S  0.2428  0.5000  0.5000 [4 per cell]

Top 10 peaks for 2θ = 5–70°, by angle:
d/Å, Position (°2θ), intensity, h k l
6.111, 14.49, 358, 1 1 0
5.280, 16.79, 142, 0 2 0
3.180, 28.06, 265, 1 3 0
3.056, 29.23, 148, 2 2 0
3.040, 29.38, 145, 0 2 1
2.640, 33.96, 1000, 2 0 1
1.873, 48.60, 113, 4 0 0
1.867, 48.79, 449, 2 4 1
1.528, 60.61, 113, 4 4 0
1.520, 60.95, 111, 0 4 2



8.
Starting from a crystal structure in Alexandria, relaxed with PBE, the X-ray diffraction stick pattern of ScU2S4 was simulated for Cu Kα (weighted mean of Kα1 and Kα2).
Intensities are scaled so that the largest is 1000.

Cell and atoms:
Cell: 3.6226 12.9139 13.0582 Å, 90.00 90.00 90.00°
Space group Cmcm (No. 63)
Asymmetric unit:
Sc  0.0000  0.1244  0.2500 [4 per cell]
U  0.0000  0.3634  0.0723 [8 per cell]
S  0.0000  0.0000  0.0000 [4 per cell]
S  0.0000  0.2869  0.6275 [8 per cell]
S  0.0000  0.4759  0.2500 [4 per cell]

Top 10 peaks for 2θ = 5–70°, by angle:
d/Å, Position (°2θ), intensity, h k l
6.529, 13.56, 488, 0 0 2
5.788, 15.31, 264, 0 2 1
3.609, 24.67, 1000, 0 2 3
3.488, 25.54, 349, 1 1 0
3.228, 27.63, 260, 0 4 0
2.772, 32.30, 393, 1 3 0
2.722, 32.91, 309, 1 1 3
2.551, 35.18, 427, 1 3 2
2.091, 43.28, 268, 1 1 5
1.894, 48.05, 288, 1 5 3



9.
Starting from a crystal structure in Alexandria, relaxed with PBE, the X-ray diffraction stick pattern of ScU6S8 was simulated for Cu Kα (weighted mean of Kα1 and Kα2).
Intensities are scaled so that the largest is 1000.

Cell and atoms:
Cell: 10.8636 10.8636 10.8636 Å, 90.00 90.00 90.00°
Space group Fm-3m (No. 225)
Asymmetric unit:
Sc  0.0000  0.0000  0.0000 [4 per cell]
U  0.0000  0.2500  0.2500 [24 per cell]
S  0.0000  0.0000  0.2459 [24 per cell]
S  0.2500  0.2500  0.2500 [8 per cell]

Top 10 peaks for 2θ = 5–70°, by angle:
d/Å, Position (°2θ), intensity, h k l
5.432, 16.32, 313, 2 0 0
3.841, 23.16, 282, 2 2 0
3.136, 28.46, 886, 2 2 2
2.716, 32.98, 1000, 4 0 0
2.429, 37.01, 177, 4 2 0
2.218, 40.69, 137, 4 2 2
1.920, 47.34, 726, 4 4 0
1.638, 56.16, 443, 6 2 2
1.568, 58.90, 255, 4 4 4
1.358, 69.18, 120, 8 0 0



10.
Starting from a crystal structure in Alexandria, relaxed with PBE, the X-ray diffraction stick pattern of ScUS was simulated for Cu Kα (weighted mean of Kα1 and Kα2).
Intensities are scaled so that the largest is 1000.

Cell and atoms:
Cell: 3.5924 3.5924 32.3950 Å, 90.00 90.00 120.00°
Space group R-3m (No. 166, hexagonal axes)
Asymmetric unit:
Sc  0.0000  0.0000  0.2066 [6 per cell]
U  0.0000  0.0000  0.3556 [6 per cell]
S  0.0000  0.0000  0.0787 [6 per cell]

Top 10 peaks for 2θ = 5–70°, by angle:
d/Å, Position (°2θ), intensity, h k l
10.798, 8.19, 1000, 0 0 3
5.399, 16.42, 104, 0 0 6
2.904, 30.79, 188, 1 0 4
2.582, 34.74, 334, 1 0 7
2.244, 40.19, 69, 1 0 10
2.139, 42.26, 94, 0 1 11
1.857, 49.07, 114, 0 1 14
1.796, 50.83, 116, 1 1 0
1.772, 51.58, 80, 1 1 3
1.475, 63.04, 59, 0 2 7



11.
Starting from a crystal structure in Alexandria, relaxed with PBE, the X-ray diffraction stick pattern of Y4ScS5 was simulated for Cu Kα (weighted mean of Kα1 and Kα2).
Intensities are scaled so that the largest is 1000.

Cell and atoms:
Cell: 3.8801 3.8801 27.4352 Å, 90.00 90.00 90.00°
Space group I4/mmm (No. 139)
Asymmetric unit:
Y  0.0000  0.0000  0.0997 [4 per cell]
Y  0.0000  0.0000  0.3029 [4 per cell]
Sc  0.0000  0.0000  0.5000 [2 per cell]
S  0.0000  0.0000  0.0000 [2 per cell]
S  0.0000  0.0000  0.2010 [4 per cell]
S  0.0000  0.0000  0.4041 [4 per cell]

Top 10 peaks for 2θ = 5–70°, by angle:
d/Å, Position (°2θ), intensity, h k l
13.718, 6.44, 51, 0 0 2
6.859, 12.91, 24, 0 0 4
3.572, 24.93, 19, 1 0 3
3.168, 28.17, 341, 1 0 5
2.744, 32.64, 1000, 1 1 0
2.397, 37.52, 21, 1 0 9
1.940, 46.83, 680, 2 0 0
1.654, 55.55, 159, 2 1 5
1.584, 58.25, 227, 2 0 10
1.372, 68.39, 103, 2 2 0



12.
Starting from a crystal structure in Alexandria, relaxed with PBE, the X-ray diffraction stick pattern of Y4ScS4 was simulated for Cu Kα (weighted mean of Kα1 and Kα2).
Intensities are scaled so that the largest is 1000.

Cell and atoms:
Cell: 8.5299 8.5299 5.5052 Å, 90.00 90.00 90.00°
Space group I4/m (No. 87)
Asymmetric unit:
Y  0.0983  0.2980  0.0000 [8 per cell]
Sc  0.0000  0.0000  0.5000 [2 per cell]
S  0.0954  0.2926  0.5000 [8 per cell]

Top 10 peaks for 2θ = 5–70°, by angle:
d/Å, Position (°2θ), intensity, h k l
6.032, 14.69, 133, 1 1 0
3.135, 28.47, 750, 2 1 1
2.753, 32.53, 515, 0 0 2
2.697, 33.21, 1000, 1 3 0
1.927, 47.18, 707, 1 3 2
1.907, 47.68, 334, 4 2 0
1.654, 55.57, 117, 2 1 3
1.630, 56.47, 224, 5 0 1
1.568, 58.91, 344, 4 2 2
1.349, 69.72, 101, 2 6 0



13.
Starting from a crystal structure in Alexandria, relaxed with PBE, the X-ray diffraction stick pattern of Sc4ZnS2 was simulated for Cu Kα (weighted mean of Kα1 and Kα2).
Intensities are scaled so that the largest is 1000.

Cell and atoms:
Cell: 3.6737 11.9611 12.5581 Å, 90.00 90.00 90.00°
Space group Cmcm (No. 63)
Asymmetric unit:
Sc  0.0000  0.0000  0.0000 [4 per cell]
Sc  0.0000  0.2698  0.1207 [8 per cell]
Sc  0.0000  0.4357  0.7500 [4 per cell]
Zn  0.0000  0.1102  0.7500 [4 per cell]
S  0.0000  0.3643  0.5595 [8 per cell]

Top 10 peaks for 2θ = 5–70°, by angle:
d/Å, Position (°2θ), intensity, h k l
3.429, 25.98, 219, 0 2 3
2.780, 32.20, 577, 0 2 4
2.701, 33.17, 205, 1 3 0
2.690, 33.30, 254, 1 1 3
2.641, 33.94, 1000, 1 3 1
2.482, 36.20, 509, 1 3 2
2.043, 44.34, 394, 1 1 5
1.837, 49.61, 336, 2 0 0
1.800, 50.73, 204, 0 6 3
1.532, 60.40, 161, 2 2 4